Simulated XRD peak list of Cu5As2H4O12 for CuKα, from a structure optimized by DFT (PBE).
Lines closer than 0.1° are merged.

Cell and atoms:
Cell lengths 4.865, 5.691, 17.903 Å; angles 90.00, 92.84, 90.00 degrees
Element x y z (fractional)
Cu: 0.000 0.000 0.000
Cu: 0.000 0.500 0.500
Cu: 0.001 0.202 0.251
Cu: 0.001 0.298 0.751
Cu: 0.085 0.529 0.083
Cu: 0.085 0.971 0.583
Cu: 0.915 0.029 0.417
Cu: 0.915 0.471 0.917
Cu: 0.999 0.702 0.249
Cu: 0.999 0.798 0.749
As: 0.454 0.046 0.871
As: 0.454 0.454 0.371
As: 0.546 0.546 0.629
As: 0.546 0.954 0.129
H: 0.307 0.594 0.839
H: 0.307 0.906 0.339
H: 0.332 0.697 0.961
H: 0.332 0.803 0.461
H: 0.668 0.197 0.539
H: 0.668 0.303 0.039
H: 0.693 0.094 0.661
H: 0.693 0.406 0.161
O: 0.111 0.555 0.822
O: 0.111 0.945 0.322
O: 0.146 0.683 0.983
O: 0.146 0.817 0.483
O: 0.252 0.047 0.787
O: 0.252 0.453 0.287
O: 0.272 0.161 0.943
O: 0.272 0.339 0.443
O: 0.282 0.737 0.646
O: 0.282 0.763 0.146
O: 0.446 0.239 0.113
O: 0.446 0.261 0.613
O: 0.554 0.739 0.387
O: 0.554 0.761 0.887
O: 0.718 0.237 0.854
O: 0.718 0.263 0.354
O: 0.728 0.661 0.557
O: 0.728 0.839 0.057
O: 0.748 0.547 0.713
O: 0.748 0.953 0.213
O: 0.854 0.183 0.517
O: 0.854 0.317 0.017
O: 0.889 0.055 0.678
O: 0.889 0.445 0.178

Top 10 peaks for 2θ = 10–90°, by angle:
18.3°, intensity 47.2, hkl 1 0 0; 24.4°, intensity 82.0, hkl 1 1 -1; 26.4°, intensity 100.0, hkl 1 0 -4; 27.8°, intensity 45.8, hkl 1 0 4; 28.9°, intensity 76.9, hkl 1 1 3; 35.6°, intensity 43.2, hkl 1 1 5; 37.0°, intensity 56.0, hkl 2 0 0; 38.3°, intensity 30.6, hkl 1 2 2; 38.6°, intensity 29.6, hkl 0 1 7; 50.0°, intensity 35.3, hkl 2 2 -2